Tm3Ni20B6: simulated powder diffraction line list (Cu Kα (weighted mean of Kα1 and Kα2)), based on a DFT-relaxed cell (GGA-PBE, Alexandria).
Lines closer than 0.1° are merged.

Principal peaks in the range 2θ from 10° to 90°, by angle:
- 23.35°, rel. 27
- 37.33°, rel. 36
- 41.04°, rel. 69
- 43.65°, rel. 100
- 47.75°, rel. 36
- 74.77°, rel. 39

Atomic structure:
```
29
Lattice="0.0000 5.3871 5.3871 5.3871 0.0000 5.3871 5.3871 5.3871 0.0000" Properties=species:S:1:pos:R:3 pbc="T T T"
Tm 0.0000 0.0000 0.0000
Tm 2.6935 2.6935 2.6935
Tm 8.0806 8.0806 8.0806
Ni 1.8579 1.8579 0.0000
Ni 3.5291 3.5291 0.0000
Ni 1.8579 0.0000 1.8579
Ni 5.3871 3.5291 1.8579
Ni 3.5291 0.0000 3.5291
Ni 5.3871 1.8579 3.5291
Ni 6.5928 4.1814 4.1814
Ni 0.0000 1.8579 1.8579
Ni 3.5291 5.3871 1.8579
Ni 3.5291 1.8579 5.3871
Ni 4.1814 4.1814 4.1814
Ni 6.5928 6.5928 4.1814
Ni 6.5928 4.1814 6.5928
Ni 4.1814 6.5928 4.1814
Ni 4.1814 4.1814 6.5928
Ni 6.5928 6.5928 6.5928
Ni 0.0000 3.5291 3.5291
Ni 1.8579 5.3871 3.5291
Ni 1.8579 3.5291 5.3871
Ni 4.1814 6.5928 6.5928
B 5.3871 5.3871 2.8887
B 5.3871 2.8887 5.3871
B 7.8854 5.3871 5.3871
B 2.8887 5.3871 5.3871
B 5.3871 7.8854 5.3871
B 5.3871 5.3871 7.8854
```

=====

Tm3Ni13B2: simulated powder diffraction line list (Cu Kα (weighted mean of Kα1 and Kα2)), based on a DFT-relaxed cell (GGA-PBE, Alexandria).
Lines closer than 0.1° are merged.

Principal peaks in the range 2θ from 10° to 90°, by angle:
- 32.41°, rel. 80
- 36.57°, rel. 34
- 42.48°, rel. 59
- 44.52°, rel. 100
- 63.23°, rel. 24
- 71.38°, rel. 23

Atomic structure:
```
18
Lattice="4.9143 0.0000 0.0000 -2.4572 4.2559 0.0000 0.0000 0.0000 10.8919" Properties=species:S:1:pos:R:3 pbc="T T T"
Tm 0.0000 0.0000 0.0000
Tm 0.0000 0.0000 3.5819
Tm 0.0000 0.0000 7.3100
Ni -1.2286 2.1280 1.4533
Ni -1.2286 2.1280 5.4460
Ni -1.2286 2.1280 9.4386
Ni 0.0000 2.8373 3.4764
Ni 0.0000 2.8373 7.4155
Ni 2.4572 0.0000 1.4533
Ni 2.4572 0.0000 5.4460
Ni 2.4572 0.0000 9.4386
Ni 1.2286 2.1280 1.4533
Ni 1.2286 2.1280 5.4460
Ni 1.2286 2.1280 9.4386
Ni 2.4572 1.4186 3.4764
Ni 2.4572 1.4186 7.4155
B 0.0000 2.8373 0.0000
B 2.4572 1.4186 0.0000
```

=====

TmNiB4: simulated powder diffraction line list (Cu Kα (weighted mean of Kα1 and Kα2)), based on a DFT-relaxed cell (GGA-PBE, Alexandria).
Lines closer than 0.1° are merged.

Principal peaks in the range 2θ from 10° to 90°, by angle:
- 26.37°, rel. 96
- 31.39°, rel. 87
- 31.55°, rel. 76
- 41.45°, rel. 100
- 41.57°, rel. 90
- 64.10°, rel. 43

Atomic structure:
```
12
Lattice="3.6181 -4.6237 0.0000 3.6181 4.6237 0.0000 0.0000 0.0000 3.3799" Properties=species:S:1:pos:R:3 pbc="T T T"
Tm 3.6181 2.7793 0.0000
Tm 3.6181 -2.7793 0.0000
Ni 2.3357 0.0000 0.0000
Ni 4.9005 0.0000 0.0000
B 1.9972 1.4416 1.6900
B 0.9095 0.0000 1.6900
B 3.6181 0.8537 1.6900
B 1.9972 -1.4416 1.6900
B 5.2390 1.4416 1.6900
B 3.6181 -0.8537 1.6900
B 6.3266 0.0000 1.6900
B 5.2390 -1.4416 1.6900
```

=====

Tm4Ni13B4: simulated powder diffraction line list (Cu Kα (weighted mean of Kα1 and Kα2)), based on a DFT-relaxed cell (GGA-PBE, Alexandria).
Lines closer than 0.1° are merged.

Principal peaks in the range 2θ from 10° to 90°, by angle:
- 32.95°, rel. 74
- 33.23°, rel. 40
- 37.72°, rel. 39
- 41.12°, rel. 100
- 43.77°, rel. 40
- 47.05°, rel. 42

Atomic structure:
```
21
Lattice="5.9426 -6.0626 0.0000 5.9426 6.0626 0.0000 0.0000 0.0000 3.8626" Properties=species:S:1:pos:R:3 pbc="T T T"
Tm 5.9426 3.7728 0.0000
Tm 4.1539 0.0000 0.0000
Tm 7.7314 0.0000 0.0000
Tm 5.9426 -3.7728 0.0000
Ni 0.0000 0.0000 1.9313
Ni 2.9713 3.0313 0.0000
Ni 2.1634 1.2730 1.9313
Ni 1.4649 0.0000 0.0000
Ni 4.6961 2.2492 1.9313
Ni 2.1634 -1.2730 1.9313
Ni 7.1892 2.2492 1.9313
Ni 2.9713 -3.0313 0.0000
Ni 4.6961 -2.2492 1.9313
Ni 9.7218 1.2730 1.9313
Ni 7.1892 -2.2492 1.9313
Ni 10.4203 0.0000 0.0000
Ni 9.7218 -1.2730 1.9313
B 2.9713 3.0313 1.9313
B 5.9426 0.7833 1.9313
B 2.9713 -3.0313 1.9313
B 5.9426 -0.7833 1.9313
```

=====

TmNiB4: simulated powder diffraction line list (Cu Kα (weighted mean of Kα1 and Kα2)), based on a DFT-relaxed cell (GGA-PBE, Alexandria).
Lines closer than 0.1° are merged.

Principal peaks in the range 2θ from 10° to 90°, by angle:
- 26.34°, rel. 67
- 27.99°, rel. 30
- 31.46°, rel. 91
- 38.81°, rel. 46
- 41.48°, rel. 100
- 64.02°, rel. 28

Atomic structure:
```
24
Lattice="5.8694 0.0000 0.0000 0.0000 11.3869 0.0000 0.0000 0.0000 3.3840" Properties=species:S:1:pos:R:3 pbc="T T T"
Tm 0.7483 1.7129 0.0000
Tm 2.1865 7.4063 0.0000
Tm 3.6830 3.9806 0.0000
Tm 5.1212 9.6741 0.0000
Ni 0.7861 4.6875 0.0000
Ni 2.1487 10.3809 0.0000
Ni 3.7208 1.0060 0.0000
Ni 5.0834 6.6995 0.0000
B 0.1258 7.8786 1.6920
B 0.6655 6.2334 1.6920
B 0.8032 11.0109 1.6920
B 1.2604 9.2750 1.6920
B 1.6743 3.5815 1.6920
B 2.1315 5.3175 1.6920
B 2.2692 0.5399 1.6920
B 2.8089 2.1851 1.6920
B 3.0605 9.2018 1.6920
B 3.6002 10.8470 1.6920
B 3.7379 6.0695 1.6920
B 4.1951 7.8054 1.6920
B 4.6090 2.1119 1.6920
B 5.0662 0.3760 1.6920
B 5.2039 5.1536 1.6920
B 5.7436 3.5083 1.6920
```

=====

Tm3Ni7B2: simulated powder diffraction line list (Cu Kα (weighted mean of Kα1 and Kα2)), based on a DFT-relaxed cell (GGA-PBE, Alexandria).
Lines closer than 0.1° are merged.

Principal peaks in the range 2θ from 10° to 90°, by angle:
- 35.67°, rel. 48
- 37.66°, rel. 100
- 41.93°, rel. 65
- 44.03°, rel. 89
- 65.39°, rel. 45
- 73.90°, rel. 29

Atomic structure:
```
24
Lattice="5.0338 0.0000 0.0000 -2.5169 4.3594 0.0000 0.0000 0.0000 14.2745" Properties=species:S:1:pos:R:3 pbc="T T T"
Tm 0.0000 2.9063 0.4654
Tm 0.0000 2.9063 3.5686
Tm 0.0000 2.9063 6.6718
Tm 2.5169 1.4531 7.6027
Tm 2.5169 1.4531 10.7058
Tm 2.5169 1.4531 13.8090
Ni 0.0000 0.0000 0.0000
Ni 0.0000 0.0000 7.1372
Ni 0.0000 1.4453 9.2554
Ni 0.0000 1.4453 12.1563
Ni -1.2652 3.6368 9.2554
Ni -1.2652 3.6368 12.1563
Ni 1.2516 0.7226 2.1182
Ni 1.2516 0.7226 5.0190
Ni 1.2653 3.6368 9.2554
Ni 1.2653 3.6368 12.1563
Ni 3.7821 0.7226 2.1182
Ni 3.7821 0.7226 5.0190
Ni 2.5169 2.9141 2.1182
Ni 2.5169 2.9141 5.0190
B 0.0000 0.0000 3.5686
B 0.0000 0.0000 10.7058
B 0.0000 2.9063 10.7058
B 2.5169 1.4531 3.5686
```

=====

TmNi12B5: simulated powder diffraction line list (Cu Kα (weighted mean of Kα1 and Kα2)), based on a DFT-relaxed cell (GGA-PBE, Alexandria).
Lines closer than 0.1° are merged.

Principal peaks in the range 2θ from 10° to 90°, by angle:
- 37.22°, rel. 52
- 41.30°, rel. 53
- 41.73°, rel. 56
- 44.15°, rel. 100
- 45.99°, rel. 69
- 48.20°, rel. 59

Atomic structure:
```
18
Lattice="-3.4180 3.4230 3.8731 3.4180 -3.4230 3.8731 3.4180 3.4230 -3.8731" Properties=species:S:1:pos:R:3 pbc="T T T"
Tm 0.0000 0.0000 0.0000
Ni 3.4180 -1.2356 2.4443
Ni 2.2001 1.5169 0.0000
Ni 4.6359 1.5169 0.0000
Ni 2.1565 3.4230 -1.6336
Ni 1.2615 0.0000 2.2395
Ni 3.4180 1.2356 2.4443
Ni 0.0000 2.1873 1.4287
Ni 2.1565 3.4230 1.6336
Ni 1.2615 0.0000 5.5067
Ni -1.2179 1.9061 3.8731
Ni 1.2179 1.9061 3.8731
Ni 0.0000 4.6586 1.4287
B 3.4180 0.0000 0.8701
B 0.9427 3.4230 0.0000
B 0.0000 0.0000 3.8731
B 2.4753 0.0000 3.8731
B 0.0000 3.4230 3.0030
```

=====

TmNi4B2: simulated powder diffraction line list (Cu Kα (weighted mean of Kα1 and Kα2)), based on a DFT-relaxed cell (GGA-PBE, Alexandria).
Lines closer than 0.1° are merged.

Principal peaks in the range 2θ from 10° to 90°, by angle:
- 26.10°, rel. 23
- 29.20°, rel. 22
- 33.41°, rel. 15
- 42.33°, rel. 100
- 44.33°, rel. 19
- 51.40°, rel. 15

Atomic structure:
```
14
Lattice="3.5554 0.0000 0.0000 0.0000 12.2594 0.0000 0.0000 0.0000 3.5282" Properties=species:S:1:pos:R:3 pbc="T T T"
Tm 0.0000 0.0000 0.0000
Tm 1.7777 6.1297 0.0000
Ni 0.0000 2.1573 1.7641
Ni 0.0000 3.9934 0.0000
Ni 0.0000 8.2660 0.0000
Ni 0.0000 10.1021 1.7641
Ni 1.7777 2.1363 0.0000
Ni 1.7777 3.9724 1.7641
Ni 1.7777 8.2870 1.7641
Ni 1.7777 10.1231 0.0000
B 0.0000 5.1076 1.7641
B 0.0000 7.1518 1.7641
B 1.7777 1.0221 1.7641
B 1.7777 11.2373 1.7641
```

=====

Tm4NiB13: simulated powder diffraction line list (Cu Kα (weighted mean of Kα1 and Kα2)), based on a DFT-relaxed cell (GGA-PBE, Alexandria).
Lines closer than 0.1° are merged.

Principal peaks in the range 2θ from 10° to 90°, by angle:
- 24.53°, rel. 39
- 26.19°, rel. 59
- 27.48°, rel. 97
- 36.19°, rel. 39
- 38.33°, rel. 100
- 59.09°, rel. 40

Atomic structure:
```
36
Lattice="7.2568 0.0000 0.0000 0.0000 7.2568 0.0000 0.0000 0.0000 6.8058" Properties=species:S:1:pos:R:3 pbc="T T T"
Tm 1.3071 2.2901 0.0000
Tm 1.3383 2.3213 3.4029
Tm 2.2901 5.9497 0.0000
Tm 2.3213 5.9185 3.4029
Tm 4.9355 1.3383 3.4029
Tm 4.9667 1.3071 0.0000
Tm 5.9185 4.9355 3.4029
Tm 5.9497 4.9667 0.0000
Ni 0.0000 0.0000 3.4029
Ni 3.6284 3.6284 0.0000
B 0.0000 0.0000 0.0000
B 0.2893 6.0163 1.6542
B 0.2893 6.0163 5.1516
B 0.6651 4.2935 1.7014
B 0.6651 4.2935 5.1043
B 1.2406 0.2893 1.6542
B 1.2406 0.2893 5.1516
B 2.3879 3.9177 1.7487
B 2.3879 3.9177 5.0571
B 2.9633 0.6651 1.7014
B 2.9633 0.6651 5.1043
B 3.3391 2.3879 1.7487
B 3.3391 2.3879 5.0571
B 3.6284 3.6284 3.4029
B 3.9177 4.8690 1.7487
B 3.9177 4.8690 5.0571
B 4.2935 6.5917 1.7014
B 4.2935 6.5917 5.1043
B 4.8690 3.3391 1.7487
B 4.8690 3.3391 5.0571
B 6.0163 6.9675 1.6542
B 6.0163 6.9675 5.1516
B 6.5917 2.9633 1.7014
B 6.5917 2.9633 5.1043
B 6.9675 1.2406 1.6542
B 6.9675 1.2406 5.1516
```

=====

UNi4B2: simulated powder diffraction line list (Cu Kα (weighted mean of Kα1 and Kα2)), based on a DFT-relaxed cell (GGA-PBE, Alexandria).
Lines closer than 0.1° are merged.

Principal peaks in the range 2θ from 10° to 90°, by angle:
- 24.63°, rel. 18
- 26.02°, rel. 32
- 28.76°, rel. 29
- 33.50°, rel. 20
- 42.02°, rel. 100
- 44.89°, rel. 19

Atomic structure:
```
14
Lattice="3.5705 0.0000 0.0000 0.0000 12.1152 0.0000 0.0000 0.0000 3.6149" Properties=species:S:1:pos:R:3 pbc="T T T"
U 0.0000 0.0000 0.0000
U 1.7853 6.0576 0.0000
Ni 0.0000 2.1241 1.8075
Ni 0.0000 3.9763 0.0000
Ni 0.0000 8.1388 0.0000
Ni 0.0000 9.9911 1.8075
Ni 1.7853 2.0812 0.0000
Ni 1.7853 3.9335 1.8075
Ni 1.7853 8.1817 1.8075
Ni 1.7853 10.0339 0.0000
B 0.0000 5.1121 1.8075
B 0.0000 7.0030 1.8075
B 1.7853 0.9455 1.8075
B 1.7853 11.1697 1.8075
```

=====

UNiB: simulated powder diffraction line list (Cu Kα (weighted mean of Kα1 and Kα2)), based on a DFT-relaxed cell (GGA-PBE, Alexandria).
Lines closer than 0.1° are merged.

Principal peaks in the range 2θ from 10° to 90°, by angle:
- 20.20°, rel. 74
- 24.70°, rel. 43
- 31.28°, rel. 38
- 38.23°, rel. 62
- 38.79°, rel. 39
- 42.19°, rel. 100

Atomic structure:
```
6
Lattice="0.0000 3.7655 4.3967 2.3214 0.0000 4.3967 2.3214 3.7655 0.0000" Properties=species:S:1:pos:R:3 pbc="T T T"
U 2.3214 1.2619 4.3967
U 2.3214 6.2691 4.3967
Ni 2.3214 3.7655 2.8154
Ni 2.3214 3.7655 5.9779
B 1.1607 1.8828 2.1983
B 3.4820 5.6483 6.5950
```